Structure and calculated XRD peak list of Pr3DySc3 (a GGA-PBE-relaxed structure; copper Kα).

Structural model:
abc: 8.4491 8.4491 21.4251
angles: 90.00 90.00 120.00
Space group R-3 (No. 148, hexagonal axes)
Unique sites:
Pr (0.0429, 0.4471, 0.3827) x18
Dy (0.0000, 0.0000, 0.1566) x6
Sc (0.0053, 0.2249, 0.5555) x18

Largest 6 diffraction maxima, in order of rising 2θ, 2θ = 10–90°:
| Position (°2θ) | I_rel | h k l |
| --- | --- | --- |
| 24.5 | 100.0 | 1 1 3 |
| 29.6 | 71.7 | 0 2 4 |
| 32.6 | 90.6 | 2 1 1 |
| 32.8 | 84.9 | 2 -1 6 |
| 33.5 | 36.6 | 3 -2 2 |
| 54.2 | 42.0 | 1 3 7 |